1.
This entry pairs a crystal structure of CaU2P2O4 with its simulated powder XRD pattern. Radiation: CuKα. Structure: a crystal structure in the Materials Project, relaxed with PBE.

a = 5.6954 Å, b = 5.6954 Å, c = 15.6057 Å
α = 90.00°, β = 90.00°, γ = 90.00°
Space group I4/mmm (No. 139)
One atom of each set of equivalent atoms:
1 Ca 0.0000 0.0000 0.0000 [2 per cell]
2 U 0.0000 0.0000 0.2581 [4 per cell]
3 P 0.0000 0.5000 0.2500 [4 per cell]
4 O 0.0000 0.0000 0.1357 [4 per cell]
5 O 0.0000 0.0000 0.3752 [4 per cell]

Main lines, by intensity (2θ from 10° to 90°):
2theta, I (rel.), hkl
11.3, 100, 0 0 2
22.1, 50, 1 1 0
24.9, 35, 1 1 2
31.4, 33, 2 0 0
33.5, 32, 2 0 2
39.2, 22, 2 0 4


2.
This entry pairs a crystal structure of CaYP7O20 with its simulated powder XRD pattern. Radiation: CuKα. Structure: a crystal structure in the Materials Project, relaxed with PBE.

a = 25.1575 Å, b = 6.9816 Å, c = 10.8805 Å
α = 90.00°, β = 107.44°, γ = 90.00°
Space group C2/c (No. 15)
One atom of each set of equivalent atoms:
1 Ca 0.0000 0.0000 0.0000 [4 per cell]
2 Y 0.2500 0.2500 0.0000 [4 per cell]
3 P 0.0000 0.3562 0.7500 [4 per cell]
4 P 0.0864 0.3630 0.2413 [8 per cell]
5 P 0.1387 0.1203 0.4635 [8 per cell]
6 P 0.1777 0.4293 0.6707 [8 per cell]
7 O 0.0097 0.2578 0.6381 [8 per cell]
8 O 0.0524 0.4942 0.3097 [8 per cell]
9 O 0.0534 0.2136 0.1571 [8 per cell]
10 O 0.0808 0.0636 0.4521 [8 per cell]
11 O 0.1154 0.4946 0.6679 [8 per cell]
12 O 0.1374 0.2902 0.3575 [8 per cell]
13 O 0.1657 0.2292 0.5984 [8 per cell]
14 O 0.1814 0.0233 0.9526 [8 per cell]
15 O 0.1989 0.4306 0.0926 [8 per cell]
16 O 0.2112 0.3902 0.8070 [8 per cell]

Main lines, by intensity (2θ from 10° to 90°):
2theta, I (rel.), hkl
22.0, 100, 5 1 -1
22.5, 77, 1 1 2
20.4, 23, 3 1 1
17.3, 21, 3 1 -1
20.6, 14, 2 0 2
20.7, 13, 1 1 -2


3.
This entry pairs a crystal structure of CaY3P3O12 with its simulated powder XRD pattern. Radiation: CuKα. Structure: a crystal structure in the Materials Project, relaxed with PBE.

a = 7.2582 Å, b = 11.8222 Å, c = 6.3327 Å
α = 90.00°, β = 90.00°, γ = 90.00°
Space group C222 (No. 21)
One atom of each set of equivalent atoms:
1 Ca 0.0000 0.0000 0.0000 [2 per cell]
2 Y 0.0000 0.5000 0.5000 [2 per cell]
3 Y 0.2500 0.2500 0.8170 [4 per cell]
4 P 0.0000 0.5000 0.0000 [2 per cell]
5 P 0.2500 0.2500 0.3190 [4 per cell]
6 O 0.0904 0.2136 0.1701 [8 per cell]
7 O 0.1247 0.4314 0.8485 [8 per cell]
8 O 0.1957 0.3474 0.4711 [8 per cell]

Main lines, by intensity (2θ from 10° to 90°):
2theta, I (rel.), hkl
28.9, 100, 2 2 0
14.3, 55, 1 1 0
32.1, 48, 0 2 2
20.1, 48, 1 1 1
31.7, 42, 1 1 2
30.2, 41, 0 4 0


4.
This entry pairs a crystal structure of CaZn2P2O10 with its simulated powder XRD pattern. Radiation: CuKα. Structure: a crystal structure in the Materials Project, relaxed with PBE.

a = 16.5954 Å, b = 7.6610 Å, c = 6.6970 Å
α = 90.00°, β = 90.00°, γ = 90.00°
Space group Pbcn (No. 60)
One atom of each set of equivalent atoms:
1 Ca 0.0000 0.1180 0.2500 [4 per cell]
2 Zn 0.2140 0.4911 0.1895 [8 per cell]
3 P 0.1478 0.1856 0.9388 [8 per cell]
4 O 0.0228 0.4398 0.4785 [8 per cell]
5 O 0.0705 0.0747 0.9391 [8 per cell]
6 O 0.1457 0.2864 0.1367 [8 per cell]
7 O 0.1524 0.3007 0.7526 [8 per cell]
8 O 0.2243 0.0603 0.9402 [8 per cell]

Main lines, by intensity (2θ from 10° to 90°):
2theta, I (rel.), hkl
10.7, 100, 2 0 0
20.6, 74, 2 1 1
31.8, 69, 4 2 0
33.4, 66, 3 1 2
19.8, 30, 3 1 0
29.3, 27, 5 1 0


5.
This entry pairs a crystal structure of CaZn2P2O10 with its simulated powder XRD pattern. Radiation: CuKα. Structure: a crystal structure in the Materials Project, relaxed with PBE.

a = 17.5612 Å, b = 7.6026 Å, c = 6.7256 Å
α = 90.00°, β = 108.26°, γ = 90.00°
Space group C2/c (No. 15)
One atom of each set of equivalent atoms:
1 Ca 0.0000 0.1161 0.2500 [4 per cell]
2 Zn 0.2147 0.4936 0.4711 [8 per cell]
3 P 0.1484 0.1815 0.6733 [8 per cell]
4 O 0.0222 0.4404 0.0465 [8 per cell]
5 O 0.0715 0.0691 0.6106 [8 per cell]
6 O 0.1469 0.2871 0.4731 [8 per cell]
7 O 0.1522 0.2973 0.8626 [8 per cell]
8 O 0.2246 0.0561 0.7314 [8 per cell]

Main lines, by intensity (2θ from 10° to 90°):
2theta, I (rel.), hkl
10.6, 100, 2 0 0
31.9, 66, 4 2 0
21.1, 61, 3 1 -1
32.4, 53, 1 1 2
34.3, 42, 5 1 -2
19.8, 26, 3 1 0


Copy entry 1 word for word.
This entry pairs a crystal structure of CaU2P2O4 with its simulated powder XRD pattern. Radiation: CuKα. Structure: a crystal structure in the Materials Project, relaxed with PBE.

a = 5.6954 Å, b = 5.6954 Å, c = 15.6057 Å
α = 90.00°, β = 90.00°, γ = 90.00°
Space group I4/mmm (No. 139)
One atom of each set of equivalent atoms:
1 Ca 0.0000 0.0000 0.0000 [2 per cell]
2 U 0.0000 0.0000 0.2581 [4 per cell]
3 P 0.0000 0.5000 0.2500 [4 per cell]
4 O 0.0000 0.0000 0.1357 [4 per cell]
5 O 0.0000 0.0000 0.3752 [4 per cell]

Main lines, by intensity (2θ from 10° to 90°):
2theta, I (rel.), hkl
11.3, 100, 0 0 2
22.1, 50, 1 1 0
24.9, 35, 1 1 2
31.4, 33, 2 0 0
33.5, 32, 2 0 2
39.2, 22, 2 0 4


What did the first record say?
This entry pairs a crystal structure of CaU2P2O4 with its simulated powder XRD pattern. Radiation: CuKα. Structure: a crystal structure in the Materials Project, relaxed with PBE.

a = 5.6954 Å, b = 5.6954 Å, c = 15.6057 Å
α = 90.00°, β = 90.00°, γ = 90.00°
Space group I4/mmm (No. 139)
One atom of each set of equivalent atoms:
1 Ca 0.0000 0.0000 0.0000 [2 per cell]
2 U 0.0000 0.0000 0.2581 [4 per cell]
3 P 0.0000 0.5000 0.2500 [4 per cell]
4 O 0.0000 0.0000 0.1357 [4 per cell]
5 O 0.0000 0.0000 0.3752 [4 per cell]

Main lines, by intensity (2θ from 10° to 90°):
2theta, I (rel.), hkl
11.3, 100, 0 0 2
22.1, 50, 1 1 0
24.9, 35, 1 1 2
31.4, 33, 2 0 0
33.5, 32, 2 0 2
39.2, 22, 2 0 4